Structure and theoretical X-ray diffraction stick pattern of Sr2CoCuSn4 (DFT lattice parameters and positions (GGA-PBE); copper Kα).
Intensities are scaled so that the largest is 100.

Structure:
a = 4.575 Å, b = 4.673 Å, c = 19.017 Å
α = 90.00°, β = 90.00°, γ = 90.00°
Element x y z (fractional)
Sr 0.000 0.000 0.000
Sr 0.000 0.500 0.500
Sr 0.500 0.000 0.219
Sr 0.500 0.500 0.719
Co 0.000 0.000 0.794
Co 0.000 0.500 0.294
Cu 0.500 0.000 0.435
Cu 0.500 0.500 0.935
Sn 0.000 0.000 0.358
Sn 0.000 0.000 0.663
Sn 0.000 0.500 0.163
Sn 0.000 0.500 0.858
Sn 0.500 0.000 0.570
Sn 0.500 0.000 0.856
Sn 0.500 0.500 0.070
Sn 0.500 0.500 0.356

The 10 most intense peaks (2θ = 10–90°), in order of rising 2θ:
- 30.30°, rel. 16, (0 1 5)
- 30.78°, rel. 100, (1 1 3)
- 34.42°, rel. 24, (1 0 6)
- 38.53°, rel. 28, (0 2 0)
- 39.39°, rel. 27, (2 0 0)
- 43.31°, rel. 22, (1 1 7)
- 52.62°, rel. 14, (1 2 6)
- 56.29°, rel. 19, (2 2 0)
- 64.94°, rel. 12, (1 3 3)
- 66.12°, rel. 12, (3 1 3)